Entry 1:
Structure and calculated X-ray powder pattern of KEuGe2O6 (a cell relaxed with GGA-PBE; Cu Kα (λ = 1.5418 Å)).
No peak broadening, texture or thermal motion is included.

Top 10 peaks for 10° ≤ 2θ ≤ 90°, by angle:
- d = 6.803 Å, 13.0 deg, intensity 39
- d = 6.075 Å, 14.6 deg, intensity 82
- d = 3.400 Å, 26.2 deg, intensity 30
- d = 3.295 Å, 27.1 deg, intensity 71
- d = 3.251 Å, 27.4 deg, intensity 100
- d = 3.188 Å, 28.0 deg, intensity 94
- d = 3.039 Å, 29.4 deg, intensity 43
- d = 2.803 Å, 31.9 deg, intensity 75
- d = 2.660 Å, 33.7 deg, intensity 29
- d = 2.042 Å, 44.4 deg, intensity 25

```
KEuGe2O6
1.0
4.4231 -5.5438 0.0000
4.4231 5.5438 0.0000
-4.3745 0.0000 19.1263
K Eu Ge O
6 6 12 36
Cartesian
1.1423 4.3656 14.3447 K
0.9665 1.1663 8.1272 K
-1.2208 -1.1663 17.6903 K
5.6926 1.1663 1.4360 K
3.5053 -1.1663 10.9991 K
3.3295 -4.3656 4.7816 K
-1.1571 3.2464 17.5702 Eu
3.3295 1.5948 4.7816 Eu
3.4417 3.2464 11.1192 Eu
1.0301 -3.2464 8.0071 Eu
1.1423 -1.5948 14.3447 Eu
5.6289 -3.2464 1.5561 Eu
2.4284 4.5633 7.7502 Ge
4.2307 4.5633 1.8129 Ge
-0.8854 1.4623 14.1842 Ge
0.7255 0.8879 11.6319 Ge
1.3019 -1.4623 4.6211 Ge
2.9128 -0.8879 2.0688 Ge
1.5590 0.8879 17.0575 Ge
3.1699 1.4623 14.5052 Ge
3.7463 -0.8879 7.4944 Ge
5.3571 -1.4623 4.9421 Ge
0.2411 -4.5633 17.3134 Ge
2.0434 -4.5633 11.3760 Ge
-1.2861 2.7534 15.2911 O
3.0680 3.6780 0.8391 O
1.7711 4.8112 11.5502 O
0.5134 4.8112 17.1392 O
-0.7477 1.2639 10.6414 O
2.3673 3.8291 6.0824 O
0.4912 1.9160 13.0948 O
4.2917 3.8291 3.4807 O
1.5064 0.1310 5.2731 O
3.5911 3.6780 8.7241 O
1.4395 -1.2639 1.0782 O
2.8918 0.8354 2.4531 O
-0.6809 -0.1310 14.8362 O
0.1732 1.4067 17.9576 O
2.1113 1.4067 10.7318 O
1.7934 1.9160 15.5946 O
0.7046 -0.8354 12.0162 O
0.9012 -2.7534 5.7280 O
3.5706 2.7534 13.3983 O
3.7672 0.8354 7.1101 O
2.6784 -1.9160 3.5317 O
2.3605 -1.4067 8.3945 O
4.2986 -1.4067 1.1687 O
5.1527 0.1310 4.2900 O
1.5799 -0.8354 16.6732 O
3.0322 1.2639 18.0480 O
0.8807 -3.6780 10.4022 O
2.9654 -0.1310 13.8532 O
0.1801 -3.8291 15.6455 O
3.9806 -1.9160 6.0314 O
2.1044 -3.8291 13.0439 O
5.2195 -1.2639 8.4849 O
3.9583 -4.8112 1.9871 O
2.7007 -4.8112 7.5760 O
1.4038 -3.6780 18.2872 O
5.7579 -2.7534 3.8352 O
```



Entry 2:
Structure and calculated X-ray powder pattern of KEuGe4O12 (a cell relaxed with GGA-PBE; Cu Kα (λ = 1.5418 Å)).
No peak broadening, texture or thermal motion is included.

Top 10 peaks for 10° ≤ 2θ ≤ 90°, by angle:
- d = 7.665 Å, 11.5 deg, intensity 22
- d = 5.431 Å, 16.3 deg, intensity 23
- d = 4.431 Å, 20.0 deg, intensity 73
- d = 3.825 Å, 23.3 deg, intensity 21
- d = 2.718 Å, 33.0 deg, intensity 100
- d = 2.705 Å, 33.1 deg, intensity 49
- d = 1.932 Å, 47.0 deg, intensity 21
- d = 1.916 Å, 47.4 deg, intensity 21
- d = 1.909 Å, 47.6 deg, intensity 21
- d = 1.566 Å, 59.0 deg, intensity 21

```
KEuGe4O12
1.0
7.6651 0.0000 0.0000
0.0000 3.8173 3.8636
0.0000 -3.8173 3.8636
K Eu Ge O
1 1 4 12
Cartesian
0.0000 0.0000 0.0000 K
3.8326 0.0000 4.0227 Eu
1.8653 -1.8488 1.9881 Ge
1.8653 1.8488 1.9881 Ge
5.7998 -1.8488 1.9881 Ge
5.7998 1.8488 1.9881 Ge
0.0000 -1.7846 2.0300 O
0.0000 1.7846 2.0300 O
2.0030 0.0000 5.5564 O
2.1292 0.0000 2.1297 O
2.1402 -1.8881 3.8956 O
2.1402 1.8881 3.8956 O
3.8326 -1.7839 5.8272 O
3.8326 1.7839 5.8272 O
5.5249 -1.8881 3.8956 O
5.5249 1.8881 3.8956 O
5.5359 0.0000 2.1297 O
5.6621 0.0000 5.5564 O
```



Entry 3:
Structure and calculated X-ray powder pattern of KEuGeS4 (a cell relaxed with GGA-PBE; Cu Kα (λ = 1.5418 Å)).
No peak broadening, texture or thermal motion is included.

Top 10 peaks for 10° ≤ 2θ ≤ 90°, by angle:
- d = 8.483 Å, 10.4 deg, intensity 100
- d = 5.245 Å, 16.9 deg, intensity 36
- d = 4.640 Å, 19.1 deg, intensity 16
- d = 3.580 Å, 24.9 deg, intensity 18
- d = 3.540 Å, 25.2 deg, intensity 17
- d = 3.337 Å, 26.7 deg, intensity 27
- d = 2.837 Å, 31.5 deg, intensity 36
- d = 2.778 Å, 32.2 deg, intensity 33
- d = 2.377 Å, 37.9 deg, intensity 16
- d = 2.320 Å, 38.8 deg, intensity 27

```
KEuGeS4
1.0
6.7772 0.0000 0.0000
0.0000 6.6744 0.0000
-2.7115 0.0000 8.4831
K Eu Ge S
2 2 2 8
Cartesian
0.3956 0.0000 3.6993 K
3.6702 3.3372 4.7838 K
-0.7443 0.1625 8.0153 Eu
4.8101 3.4997 0.4679 Eu
1.3838 3.2238 1.5224 Ge
2.6820 6.5610 6.9608 Ge
-2.0230 2.8633 7.9148 S
-0.3610 3.2104 2.8639 S
2.6723 5.0345 1.7752 S
1.1518 4.9749 6.5593 S
2.9140 1.6377 1.9238 S
1.3935 1.6973 6.7080 S
4.4268 6.5476 5.6192 S
6.0888 6.2005 0.5683 S
```



Entry 4:
Structure and calculated X-ray powder pattern of K2EuGeSe5 (a cell relaxed with GGA-PBE; Cu Kα (λ = 1.5418 Å)).
No peak broadening, texture or thermal motion is included.

Top 10 peaks for 10° ≤ 2θ ≤ 90°, by angle:
- d = 5.889 Å, 15.0 deg, intensity 47
- d = 3.415 Å, 26.1 deg, intensity 40
- d = 3.355 Å, 26.6 deg, intensity 100
- d = 3.229 Å, 27.6 deg, intensity 53
- d = 3.010 Å, 29.7 deg, intensity 46
- d = 2.946 Å, 30.3 deg, intensity 95
- d = 2.884 Å, 31.0 deg, intensity 96
- d = 2.463 Å, 36.5 deg, intensity 46
- d = 2.440 Å, 36.8 deg, intensity 57
- d = 2.153 Å, 42.0 deg, intensity 40

```
K2EuGeSe5
1.0
11.9104 0.0000 0.0000
0.0000 10.0657 0.0000
-0.1938 0.0000 9.0101
K Eu Ge Se
8 4 4 20
Cartesian
0.6688 2.0120 0.3541 K
0.5719 3.0209 4.8592 K
2.2111 5.5945 7.8772 K
2.3080 9.5041 3.3721 K
9.4087 0.5616 5.6380 K
9.5055 4.4713 1.1329 K
11.1448 7.0448 4.1509 K
11.0479 8.0538 8.6560 K
5.7288 2.2933 0.9549 Eu
5.6320 2.7395 5.4599 Eu
6.0847 7.3262 3.5502 Eu
5.9878 7.7724 8.0552 Eu
2.8589 0.2137 7.1386 Ge
2.9558 4.8191 2.6335 Ge
8.7609 5.2466 6.3766 Ge
8.8577 9.8520 1.8715 Ge
0.7932 5.1634 1.7437 Se
0.6963 9.9352 6.2487 Se
2.8616 6.3683 4.5118 Se
2.9585 8.7303 0.0068 Se
3.3048 2.4736 7.7375 Se
3.4016 2.5593 3.2324 Se
4.8456 5.3877 1.2386 Se
4.7487 9.7109 5.7436 Se
4.8014 5.6993 5.9713 Se
4.8983 9.3993 1.4663 Se
6.8183 0.6664 7.5438 Se
6.9152 4.3664 3.0388 Se
6.9679 0.3548 3.2665 Se
6.8710 4.6780 7.7715 Se
8.3150 7.5065 5.7777 Se
8.4119 7.5921 1.2726 Se
8.7581 1.3355 9.0033 Se
8.8550 3.6974 4.4983 Se
11.0203 0.1305 2.7614 Se
10.9235 4.9023 7.2664 Se
```



Entry 5:
Structure and calculated X-ray powder pattern of Li2EuGe (a cell relaxed with GGA-PBE; Cu Kα (λ = 1.5418 Å)).
No peak broadening, texture or thermal motion is included.

Top 10 peaks for 10° ≤ 2θ ≤ 90°, by angle:
- d = 3.893 Å, 22.8 deg, intensity 23
- d = 3.371 Å, 26.4 deg, intensity 100
- d = 2.384 Å, 37.7 deg, intensity 94
- d = 2.033 Å, 44.6 deg, intensity 12
- d = 1.947 Å, 46.7 deg, intensity 29
- d = 1.686 Å, 54.4 deg, intensity 16
- d = 1.508 Å, 61.5 deg, intensity 37
- d = 1.376 Å, 68.1 deg, intensity 33
- d = 1.192 Å, 80.6 deg, intensity 10
- d = 1.124 Å, 86.6 deg, intensity 19

```
Li2EuGe
1.0
0.0000 3.3715 3.3715
3.3715 0.0000 3.3715
3.3715 3.3715 0.0000
Li Eu Ge
2 1 1
Cartesian
1.6857 1.6857 1.6857 Li
5.0572 5.0572 5.0572 Li
0.0000 0.0000 0.0000 Eu
3.3715 3.3715 3.3715 Ge
```



Entry 6:
Structure and calculated X-ray powder pattern of EuMgGe (a cell relaxed with GGA-PBE; Cu Kα (λ = 1.5418 Å)).
No peak broadening, texture or thermal motion is included.

Top 10 peaks for 10° ≤ 2θ ≤ 90°, by angle:
- d = 4.010 Å, 22.2 deg, intensity 23
- d = 2.878 Å, 31.1 deg, intensity 61
- d = 2.847 Å, 31.4 deg, intensity 20
- d = 2.771 Å, 32.3 deg, intensity 100
- d = 2.658 Å, 33.7 deg, intensity 27
- d = 2.405 Å, 37.4 deg, intensity 17
- d = 2.274 Å, 39.6 deg, intensity 27
- d = 1.868 Å, 48.8 deg, intensity 16
- d = 1.728 Å, 53.0 deg, intensity 22
- d = 1.538 Å, 60.2 deg, intensity 15

```
EuMgGe
1.0
7.6681 0.0000 0.0000
0.0000 4.5471 0.0000
0.0000 0.0000 8.5015
Eu Mg Ge
4 4 4
Cartesian
0.1336 1.1368 1.5489 Eu
3.7005 3.4103 5.7997 Eu
3.9677 1.1368 2.7018 Eu
7.5345 3.4103 6.9526 Eu
1.1072 1.1368 4.7979 Mg
2.7269 3.4103 0.5472 Mg
4.9412 1.1368 7.9544 Mg
6.5609 3.4103 3.7036 Mg
1.7350 3.4103 3.2962 Ge
2.0991 1.1368 7.5470 Ge
5.5690 3.4103 0.9546 Ge
5.9331 1.1368 5.2053 Ge
```



Entry 7:
Structure and calculated X-ray powder pattern of EuMn2Ge2 (a cell relaxed with GGA-PBE; Cu Kα (λ = 1.5418 Å)).
No peak broadening, texture or thermal motion is included.

Top 10 peaks for 10° ≤ 2θ ≤ 90°, by angle:
- d = 2.771 Å, 32.3 deg, intensity 34
- d = 2.562 Å, 35.0 deg, intensity 100
- d = 2.433 Å, 37.0 deg, intensity 90
- d = 1.960 Å, 46.3 deg, intensity 57
- d = 1.803 Å, 50.6 deg, intensity 35
- d = 1.556 Å, 59.4 deg, intensity 43
- d = 1.444 Å, 64.5 deg, intensity 17
- d = 1.386 Å, 67.6 deg, intensity 18
- d = 1.327 Å, 71.0 deg, intensity 25
- d = 1.204 Å, 79.6 deg, intensity 18

```
EuMn2Ge2
1.0
-1.9597 1.9597 5.0767
1.9597 -1.9597 5.0767
1.9597 1.9597 -5.0767
Eu Mn Ge
1 2 2
Cartesian
0.0000 0.0000 0.0000 Eu
1.9597 0.0000 2.5383 Mn
0.0000 1.9597 2.5383 Mn
0.0000 0.0000 3.8077 Ge
0.0000 0.0000 6.3456 Ge
```



Entry 8:
Structure and calculated X-ray powder pattern of Na2EuGeSe4 (a cell relaxed with GGA-PBE; Cu Kα (λ = 1.5418 Å)).
No peak broadening, texture or thermal motion is included.

Top 10 peaks for 10° ≤ 2θ ≤ 90°, by angle:
- d = 5.237 Å, 16.9 deg, intensity 76
- d = 3.037 Å, 29.4 deg, intensity 49
- d = 3.027 Å, 29.5 deg, intensity 75
- d = 2.627 Å, 34.1 deg, intensity 100
- d = 2.618 Å, 34.2 deg, intensity 52
- d = 1.983 Å, 45.8 deg, intensity 37
- d = 1.746 Å, 52.4 deg, intensity 40
- d = 1.657 Å, 55.4 deg, intensity 19
- d = 1.583 Å, 58.3 deg, intensity 17
- d = 1.514 Å, 61.2 deg, intensity 20

```
Na2EuGeSe4
1.0
-3.7031 3.7031 3.7285
3.7031 -3.7031 3.7285
3.7031 3.7031 -3.7285
Na Eu Ge Se
2 1 1 4
Cartesian
3.7031 0.0000 0.0000 Na
0.0000 3.7031 0.0000 Na
0.0000 0.0000 0.0000 Eu
0.0000 0.0000 3.7285 Ge
2.3041 2.3041 -1.3773 Se
1.3990 -1.3990 5.1058 Se
1.3990 1.3990 2.3512 Se
-1.3990 1.3990 5.1058 Se
```